For La4Bi2SN2, a crystal structure in Alexandria, relaxed with PBE gives the theoretical XRD peak list in this record (Cu Kα, 1.54184 Å).

Cell and atoms:
abc: 7.9932 7.9932 8.3318
angles: 110.81 110.81 31.28
Fractional positions:
La 0.0277 0.0277 0.2846
La 0.2865 0.2865 0.3594
La 0.7135 0.7135 0.6406
La 0.9723 0.9723 0.7154
Bi 0.3906 0.3906 0.9626
Bi 0.6094 0.6094 0.0374
S 0.5000 0.5000 0.5000
N 0.1740 0.1740 0.4868
N 0.8260 0.8260 0.5132

Largest 10 diffraction maxima, by intensity, 5 to 70 degrees two-theta:
| Position (°2θ) | d/Å | I_rel |
| --- | --- | --- |
| 29.92 | 2.987 | 100 |
| 35.84 | 2.505 | 49 |
| 31.17 | 2.869 | 43 |
| 25.52 | 3.491 | 42 |
| 26.98 | 3.305 | 41 |
| 27.90 | 3.198 | 40 |
| 50.61 | 1.803 | 38 |
| 13.40 | 6.609 | 24 |
| 41.92 | 2.155 | 24 |
| 50.80 | 1.797 | 20 |


For K5Rb3Na6, a crystal structure in Alexandria, relaxed with PBE gives the theoretical XRD peak list in this record (Cu Kα, 1.54184 Å).

Cell and atoms:
abc: 12.4172 12.4172 12.4172
angles: 150.86 107.56 79.92
Fractional positions:
K 0.0000 0.0000 0.0000
K 0.1560 0.3103 0.8456
K 0.4647 0.3103 0.1544
K 0.5353 0.6897 0.8456
K 0.8440 0.6897 0.1544
Rb 0.1718 0.6718 0.5000
Rb 0.5000 0.0000 0.5000
Rb 0.8282 0.3282 0.5000
Na 0.1299 0.9008 0.2291
Na 0.2103 0.5000 0.7103
Na 0.3282 0.0992 0.2291
Na 0.6718 0.9008 0.7709
Na 0.7897 0.5000 0.2897
Na 0.8701 0.0992 0.7709

Largest 10 diffraction maxima, by intensity, 5 to 70 degrees two-theta:
| Position (°2θ) | d/Å | I_rel |
| --- | --- | --- |
| 19.94 | 4.452 | 100 |
| 23.37 | 3.806 | 97 |
| 22.96 | 3.874 | 76 |
| 23.09 | 3.852 | 74 |
| 28.58 | 3.123 | 65 |
| 36.97 | 2.432 | 42 |
| 42.16 | 2.144 | 40 |
| 24.94 | 3.570 | 30 |
| 36.72 | 2.448 | 29 |
| 27.43 | 3.251 | 27 |


For YAg3Hg4, a crystal structure in Alexandria, relaxed with PBE gives the theoretical XRD peak list in this record (Cu Kα, 1.54184 Å).

Cell and atoms:
abc: 9.1410 8.3320 4.5699
angles: 90.00 90.00 90.00
Fractional positions:
Y 0.0000 0.0000 0.0000
Y 0.5000 0.0000 0.0000
Ag 0.0000 0.5000 0.0000
Ag 0.2500 0.0000 0.4994
Ag 0.2500 0.5000 0.4981
Ag 0.5000 0.5000 0.0000
Ag 0.7500 0.0000 0.5006
Ag 0.7500 0.5000 0.5019
Hg 0.0000 0.2604 0.5000
Hg 0.0000 0.7396 0.5000
Hg 0.2500 0.2604 0.9990
Hg 0.2500 0.7396 0.9990
Hg 0.5000 0.2604 0.5000
Hg 0.5000 0.7396 0.5000
Hg 0.7500 0.2604 0.0010
Hg 0.7500 0.7396 0.0010

Largest 10 diffraction maxima, by intensity, 5 to 70 degrees two-theta:
| Position (°2θ) | d/Å | I_rel |
| --- | --- | --- |
| 35.15 | 2.553 | 100 |
| 39.43 | 2.285 | 37 |
| 68.75 | 1.365 | 28 |
| 60.10 | 1.539 | 20 |
| 43.44 | 2.083 | 13 |
| 56.99 | 1.616 | 12 |
| 27.60 | 3.232 | 8 |
| 21.33 | 4.166 | 7 |
| 45.26 | 2.003 | 5 |
| 52.25 | 1.751 | 3 |